Starting from a PBE-relaxed structure, the powder diffractogram of Zr4SiSb was computed for CuKα.
Kinematic intensities with the Lorentz-polarization factor, no thermal factor.

Crystal structure
```
data_Zr4SiSb
_symmetry_space_group_name_H-M 'F -4 3 m'
_symmetry_Int_Tables_number 216
_symmetry_space_group_name_Hall 'F -4 2 3'
_cell_length_a 8.1132
_cell_length_b 8.1132
_cell_length_c 8.1132
_cell_angle_alpha 90.00
_cell_angle_beta 90.00
_cell_angle_gamma 90.00
loop_
_atom_site_label
_atom_site_type_symbol
_atom_site_fract_x
_atom_site_fract_y
_atom_site_fract_z
Zr1 Zr 0.1254 0.1254 0.1254
Si1 Si 0.0000 0.0000 0.5000
Sb1 Sb 0.2500 0.2500 0.7500
```

Peak list (10 most intense, 2θ = 10–80°, by angle)
two_theta  Rel. int.  h k l
18.95  21  1 1 1
21.91  9  2 0 0
31.18  20  2 2 0
36.74  100  3 1 1
38.44  48  2 2 2
44.68  8  4 0 0
59.17  32  5 1 1
65.03  27  4 4 0
77.08  11  5 3 3
78.14  17  6 2 2

=====

Starting from a PBE-relaxed structure, the powder diffractogram of Tb4YCo2 was computed for CuKα.
Kinematic intensities with the Lorentz-polarization factor, no thermal factor.

Crystal structure
```
data_Tb4YCo2
_symmetry_space_group_name_H-M 'P 1 21/m 1'
_symmetry_Int_Tables_number 11
_cell_length_a 7.6604
_cell_length_b 6.3875
_cell_length_c 7.7560
_cell_angle_alpha 90.00
_cell_angle_beta 113.00
_cell_angle_gamma 90.00
loop_
_symmetry_equiv_pos_as_xyz
'x,y,z'
'-x,-y,-z'
'-x,y+1/2,-z'
'x,-y+1/2,z'
loop_
_atom_site_label
_atom_site_type_symbol
_atom_site_fract_x
_atom_site_fract_y
_atom_site_fract_z
Tb1 Tb 0.1255 0.2500 0.4802
Tb2 Tb 0.1731 0.7500 0.2488
Tb3 Tb 0.2588 0.5024 0.9112
Y1 Y 0.4737 0.2500 0.3370
Co1 Co 0.0914 0.2500 0.1288
Co2 Co 0.4890 0.2500 0.7674
```

Peak list (10 most intense, 2θ = 10–80°, by angle)
two_theta  Rel. int.  h k l
30.67  100  0 2 1
31.16  70  2 1 -2
31.27  57  1 2 -1
32.42  53  2 0 1
34.76  69  1 0 -3
35.17  83  3 0 -1
35.24  45  1 1 2
36.60  91  3 0 -2
36.73  53  2 2 -1
38.02  61  2 2 0

=====

Starting from a PBE-relaxed structure, the powder diffractogram of Nd3SBr3 was computed for CuKα.
Kinematic intensities with the Lorentz-polarization factor, no thermal factor.

Crystal structure
```
data_Nd3SBr3
_symmetry_space_group_name_H-M 'R -3'
_symmetry_Int_Tables_number 148
_symmetry_space_group_name_Hall '-R 3'
_cell_length_a 7.0852
_cell_length_b 7.0852
_cell_length_c 32.1058
_cell_angle_alpha 90.00
_cell_angle_beta 90.00
_cell_angle_gamma 120.00
loop_
_atom_site_label
_atom_site_type_symbol
_atom_site_fract_x
_atom_site_fract_y
_atom_site_fract_z
Nd1 Nd 0.0000 0.3426 0.0481
S1 S 0.0000 0.0000 0.3333
Br1 Br 0.0000 0.3285 0.8932
```

Peak list (10 most intense, 2θ = 10–80°, by angle)
two_theta  Rel. int.  h k l
16.57  12  0 0 6
25.14  24  1 1 0
30.26  100  2 -1 6
35.72  11  2 -1 9
42.33  27  1 1 12
44.29  28  3 0 0
54.58  18  2 2 6
56.65  9  3 0 12
62.91  10  4 -2 12
72.81  15  5 -1 6

=====

Starting from a PBE-relaxed structure, the powder diffractogram of Rb2Sb4O11 was computed for CuKα.
Kinematic intensities with the Lorentz-polarization factor, no thermal factor.

Crystal structure
```
data_Rb2Sb4O11
_symmetry_space_group_name_H-M 'C 1 2/m 1'
_symmetry_Int_Tables_number 12
_cell_length_a 19.8960
_cell_length_b 7.7051
_cell_length_c 7.3399
_cell_angle_alpha 90.00
_cell_angle_beta 95.75
_cell_angle_gamma 90.00
loop_
_symmetry_equiv_pos_as_xyz
'x,y,z'
'-x,-y,-z'
'-x,y,-z'
'x,-y,z'
'x+1/2,y+1/2,z'
'-x+1/2,-y+1/2,-z'
'-x+1/2,y+1/2,-z'
'x+1/2,-y+1/2,z'
loop_
_atom_site_label
_atom_site_type_symbol
_atom_site_fract_x
_atom_site_fract_y
_atom_site_fract_z
Rb1 Rb 0.0076 0.0000 0.2550
Rb2 Rb 0.2348 0.0000 0.0068
Sb1 Sb 0.0713 0.5000 0.0994
Sb2 Sb 0.0761 0.5000 0.6176
Sb3 Sb 0.1744 0.2431 0.4379
O1 O 0.0000 0.3288 0.0000
O2 O 0.0231 0.5000 0.3462
O3 O 0.0893 0.2456 0.5722
O4 O 0.1173 0.5000 0.8702
O5 O 0.1281 0.3015 0.1909
O6 O 0.1594 0.0000 0.3592
O7 O 0.1665 0.5000 0.5117
O8 O 0.2375 0.2128 0.6673
```

Peak list (10 most intense, 2θ = 10–80°, by angle)
two_theta  Rel. int.  h k l
12.12  62  0 0 1
12.33  100  1 1 0
14.33  38  2 0 -1
24.80  65  2 2 0
25.29  61  5 1 0
26.15  65  0 2 1
27.28  51  2 2 -1
29.14  60  3 1 -2
31.88  41  4 0 2
47.19  39  0 4 0

=====

Starting from a PBE-relaxed structure, the powder diffractogram of PaPt2Rh3 was computed for CuKα.
Kinematic intensities with the Lorentz-polarization factor, no thermal factor.

Crystal structure
```
data_PaPt2Rh3
_symmetry_space_group_name_H-M 'P 1 21/m 1'
_symmetry_Int_Tables_number 11
_cell_length_a 5.6751
_cell_length_b 4.0753
_cell_length_c 8.5788
_cell_angle_alpha 90.00
_cell_angle_beta 92.31
_cell_angle_gamma 90.00
loop_
_symmetry_equiv_pos_as_xyz
'x,y,z'
'-x,-y,-z'
'-x,y+1/2,-z'
'x,-y+1/2,z'
loop_
_atom_site_label
_atom_site_type_symbol
_atom_site_fract_x
_atom_site_fract_y
_atom_site_fract_z
Pa1 Pa 0.1239 0.2500 0.2468
Pt1 Pt 0.1437 0.2500 0.5829
Pt2 Pt 0.3767 0.7500 0.0833
Rh1 Rh 0.1322 0.2500 0.9171
Rh2 Rh 0.3699 0.7500 0.4137
Rh3 Rh 0.3740 0.7500 0.7494
```

Peak list (10 most intense, 2θ = 10–80°, by angle)
two_theta  Rel. int.  h k l
38.48  100  0 1 3
38.69  97  2 1 0
44.08  34  2 0 -3
44.46  33  0 2 0
45.99  30  2 0 3
64.40  22  2 2 -3
65.89  30  2 2 3
77.19  13  2 1 -6
77.86  13  0 3 3
77.99  13  2 3 0

=====

Starting from a PBE-relaxed structure, the powder diffractogram of As was computed for CuKα.
Kinematic intensities with the Lorentz-polarization factor, no thermal factor.

Crystal structure
```
data_As
_symmetry_space_group_name_H-M 'I 4/m m m'
_symmetry_Int_Tables_number 139
_symmetry_space_group_name_Hall '-I 4 2'
_cell_length_a 2.7626
_cell_length_b 2.7626
_cell_length_c 11.4785
_cell_angle_alpha 90.00
_cell_angle_beta 90.00
_cell_angle_gamma 90.00
loop_
_atom_site_label
_atom_site_type_symbol
_atom_site_fract_x
_atom_site_fract_y
_atom_site_fract_z
As1 As 0.0000 0.0000 0.1079
```

Peak list (10 most intense, 2θ = 10–80°, by angle)
two_theta  Rel. int.  h k l
15.44  13  0 0 2
31.17  41  0 0 4
33.36  100  1 0 1
40.27  19  1 0 3
46.49  32  1 1 0
51.78  44  1 0 5
57.03  29  1 1 4
67.85  10  2 0 0
76.55  12  2 0 4
77.75  17  2 1 1

=====

Starting from a PBE-relaxed structure, the powder diffractogram of KIn6Ag6 was computed for CuKα.
Kinematic intensities with the Lorentz-polarization factor, no thermal factor.

Crystal structure
```
data_KIn6Ag6
_symmetry_space_group_name_H-M 'I m m m'
_symmetry_Int_Tables_number 71
_symmetry_space_group_name_Hall '-I 2 2'
_cell_length_a 5.8380
_cell_length_b 9.9299
_cell_length_c 10.0479
_cell_angle_alpha 90.00
_cell_angle_beta 90.00
_cell_angle_gamma 90.00
loop_
_atom_site_label
_atom_site_type_symbol
_atom_site_fract_x
_atom_site_fract_y
_atom_site_fract_z
K1 K 0.0000 0.0000 0.0000
In1 In 0.0000 0.0000 0.3485
In2 In 0.0000 0.3500 0.0000
In3 In 0.0000 0.5000 0.3068
Ag1 Ag 0.0000 0.2684 0.5000
Ag2 Ag 0.2500 0.2500 0.2500
```

Peak list (10 most intense, 2θ = 10–80°, by angle)
two_theta  Rel. int.  h k l
17.61  25  0 0 2
35.57  33  2 0 2
35.71  52  0 0 4
35.81  51  1 2 3
35.95  26  1 3 2
36.18  31  0 4 0
40.08  100  2 2 2
40.23  35  0 2 4
40.51  51  0 4 2
64.80  26  2 6 0

=====

Starting from a PBE-relaxed structure, the powder diffractogram of Ce5Si2Pb was computed for CuKα.
Kinematic intensities with the Lorentz-polarization factor, no thermal factor.

Crystal structure
```
data_Ce5Si2Pb
_symmetry_space_group_name_H-M 'I 4/m c m'
_symmetry_Int_Tables_number 140
_symmetry_space_group_name_Hall '-I 4 2c'
_cell_length_a 7.8141
_cell_length_b 7.8141
_cell_length_c 14.3517
_cell_angle_alpha 90.00
_cell_angle_beta 90.00
_cell_angle_gamma 90.00
loop_
_atom_site_label
_atom_site_type_symbol
_atom_site_fract_x
_atom_site_fract_y
_atom_site_fract_z
Ce1 Ce 0.0000 0.0000 0.0000
Ce2 Ce 0.1701 0.3299 0.1381
Si1 Si 0.1216 0.3784 0.5000
Pb1 Pb 0.0000 0.0000 0.2500
```

Peak list (10 most intense, 2θ = 10–80°, by angle)
two_theta  Rel. int.  h k l
16.04  25  1 1 0
26.25  50  2 1 1
29.69  68  1 1 4
31.71  94  2 1 3
32.41  36  2 2 0
33.92  100  2 0 4
36.36  85  3 1 0
51.89  21  4 1 3
56.13  43  3 3 4
64.15  27  3 1 8

=====

Starting from a PBE-relaxed structure, the powder diffractogram of La8Ti2Ga2O19 was computed for CuKα.
Kinematic intensities with the Lorentz-polarization factor, no thermal factor.

Crystal structure
```
data_La8Ti2Ga2O19
_symmetry_space_group_name_H-M 'P 1 m 1'
_symmetry_Int_Tables_number 6
_cell_length_a 11.1731
_cell_length_b 3.9375
_cell_length_c 11.4088
_cell_angle_alpha 90.00
_cell_angle_beta 90.13
_cell_angle_gamma 90.00
loop_
_symmetry_equiv_pos_as_xyz
'x,y,z'
'x,-y,z'
loop_
_atom_site_label
_atom_site_type_symbol
_atom_site_fract_x
_atom_site_fract_y
_atom_site_fract_z
La1 La 0.0000 0.0000 0.0000
La2 La 0.0312 0.0000 0.6539
La3 La 0.2296 0.5000 0.2194
La4 La 0.2713 0.5000 0.8791
La5 La 0.5110 0.0000 0.3522
La6 La 0.5474 0.0000 0.7324
La7 La 0.7279 0.5000 0.1484
La8 La 0.7663 0.5000 0.4975
Ti1 Ti 0.8262 0.5000 0.8130
Ti2 Ti 0.9360 0.0000 0.3094
Ga1 Ga 0.3121 0.5000 0.5608
Ga2 Ga 0.4386 0.0000 0.0648
O1 O 0.0911 0.0000 0.2694
O2 O 0.1239 0.5000 0.0386
O3 O 0.1427 0.0000 0.8346
O4 O 0.1586 0.5000 0.6018
O5 O 0.3480 0.0000 0.2143
O6 O 0.3686 0.5000 0.4150
O7 O 0.3849 0.5000 0.0596
O8 O 0.4128 0.5000 0.6859
O9 O 0.4148 0.0000 0.8960
O10 O 0.5930 0.0000 0.1304
O11 O 0.6273 0.0000 0.5410
O12 O 0.6287 0.5000 0.3343
O13 O 0.6673 0.5000 0.7789
O14 O 0.8535 0.0000 0.1639
O15 O 0.8642 0.5000 0.9725
O16 O 0.8681 0.0000 0.8148
O17 O 0.8896 0.5000 0.3148
O18 O 0.8964 0.0000 0.4739
O19 O 0.9090 0.5000 0.6681
```

Peak list (10 most intense, 2θ = 10–80°, by angle)
two_theta  Rel. int.  h k l
11.08  19  1 0 -1
24.73  23  1 0 3
27.72  100  2 1 0
28.39  65  2 0 -3
28.63  25  3 0 2
32.74  33  0 1 3
46.10  22  0 2 0
46.46  29  4 1 -3
49.55  15  5 1 2
55.09  17  2 2 3

=====

Starting from a PBE-relaxed structure, the powder diffractogram of CsCu4I7 was computed for CuKα.
Kinematic intensities with the Lorentz-polarization factor, no thermal factor.

Crystal structure
```
data_CsCu4I7
_symmetry_space_group_name_H-M 'P m n 21'
_symmetry_Int_Tables_number 31
_cell_length_a 17.0682
_cell_length_b 7.1982
_cell_length_c 7.0218
_cell_angle_alpha 90.00
_cell_angle_beta 90.00
_cell_angle_gamma 90.00
loop_
_symmetry_equiv_pos_as_xyz
'x,y,z'
'-x+1/2,-y,z+1/2'
'-x,y,z'
'x+1/2,-y,z+1/2'
loop_
_atom_site_label
_atom_site_type_symbol
_atom_site_fract_x
_atom_site_fract_y
_atom_site_fract_z
Cs1 Cs 0.0000 0.1695 0.0000
Cu1 Cu 0.1239 0.6642 0.6301
Cu2 Cu 0.2497 0.1734 0.6194
I1 I 0.0000 0.8329 0.5036
I2 I 0.1206 0.3254 0.5114
I3 I 0.1225 0.6792 0.9984
I4 I 0.2476 0.8308 0.4934
```

Peak list (10 most intense, 2θ = 10–80°, by angle)
two_theta  Rel. int.  h k l
24.25  46  4 1 0
24.74  30  0 2 0
25.37  62  0 0 2
27.42  100  4 1 1
27.86  41  0 2 1
35.38  22  4 1 2
42.36  23  8 0 0
43.26  42  4 3 0
45.99  49  4 1 3
50.81  37  4 3 2

=====

Starting from a PBE-relaxed structure, the powder diffractogram of Sm3Fe2Ni7 was computed for CuKα.
Kinematic intensities with the Lorentz-polarization factor, no thermal factor.

Crystal structure
```
data_Sm3Fe2Ni7
_symmetry_space_group_name_H-M 'R -3 m'
_symmetry_Int_Tables_number 166
_symmetry_space_group_name_Hall '-R 3 2"'
_cell_length_a 5.0520
_cell_length_b 5.0520
_cell_length_c 24.6441
_cell_angle_alpha 90.00
_cell_angle_beta 90.00
_cell_angle_gamma 120.00
loop_
_atom_site_label
_atom_site_type_symbol
_atom_site_fract_x
_atom_site_fract_y
_atom_site_fract_z
Sm1 Sm 0.0000 0.0000 0.0000
Sm2 Sm 0.0000 0.0000 0.1387
Fe1 Fe 0.0000 0.0000 0.3324
Ni1 Ni 0.0000 0.0000 0.5000
Ni2 Ni 0.0024 0.5012 0.0805
```

Peak list (10 most intense, 2θ = 10–80°, by angle)
two_theta  Rel. int.  h k l
32.65  49  1 0 7
35.54  48  1 1 0
35.64  40  0 1 8
41.44  39  0 2 1
41.99  100  1 1 6
45.36  15  2 0 5
62.00  15  2 1 7
63.87  24  3 0 0
68.24  20  0 3 6
75.23  21  2 2 0